This entry pairs a crystal structure of Ca3ZnBi3 with its theoretical XRD peak list. Radiation: CuKα. Structure: a structure optimized by DFT (GGA-PBE).

Atomic structure:
```
data_Ca3ZnBi3
_chemical_formula_sum 'Ca24 Zn8 Bi24'
_space_group_name_H-M_alt 'C m c e'
_space_group_IT_number 64
_space_group_name_Hall '-C 2ac 2'
_cell_length_a 20.0387
_cell_length_b 6.7271
_cell_length_c 13.3091
_cell_angle_alpha 90.00
_cell_angle_beta 90.00
_cell_angle_gamma 90.00
loop_
_atom_site_label
_atom_site_fract_x
_atom_site_fract_y
_atom_site_fract_z
Ca1 0.0000 0.2120 0.1368
Ca2 0.1731 0.2177 0.8740
Zn1 0.0857 0.0000 0.5000
Bi1 0.0000 0.2320 0.3800
Bi2 0.1640 0.2316 0.6269
```

Peak list (10 most intense, 10 to 80 degrees two-theta, sorted by position)
d [Å], 2theta, Rel. int., h k l
3.861, 23.04, 100, 3 1 2
3.364, 26.50, 32, 0 2 0
3.340, 26.69, 35, 6 0 0
3.327, 26.79, 34, 0 0 4
2.368, 38.00, 74, 0 2 4
2.357, 38.18, 39, 6 0 4
2.025, 44.75, 18, 3 3 2
2.015, 45.00, 19, 9 1 2
2.009, 45.13, 19, 3 1 6
1.930, 47.08, 27, 6 2 4

---

This entry pairs a crystal structure of ScGe2MoOs with its theoretical XRD peak list. Radiation: CuKα. Structure: a structure optimized by DFT (GGA-PBE).

Atomic structure:
```
data_ScGe2MoOs
_chemical_formula_sum 'Sc1 Ge2 Mo1 Os1'
_space_group_name_H-M_alt 'P 4/m m m'
_space_group_IT_number 123
_space_group_name_Hall '-P 4 2'
_cell_length_a 4.6760
_cell_length_b 4.6760
_cell_length_c 4.9920
_cell_angle_alpha 90.00
_cell_angle_beta 90.00
_cell_angle_gamma 90.00
loop_
_atom_site_label
_atom_site_fract_x
_atom_site_fract_y
_atom_site_fract_z
Sc1 0.0000 0.0000 0.0000
Ge1 0.0000 0.5000 0.5000
Mo1 0.5000 0.5000 0.0000
Os1 0.5000 0.5000 0.5000
```

Peak list (10 most intense, 10 to 80 degrees two-theta, sorted by position)
d [Å], 2theta, Rel. int., h k l
4.992, 17.77, 37, 0 0 1
4.676, 18.98, 100, 1 0 0
3.413, 26.11, 29, 1 0 1
3.306, 26.97, 24, 1 1 0
2.496, 35.98, 41, 0 0 2
2.338, 38.51, 68, 2 0 0
2.202, 40.99, 29, 1 0 2
2.091, 43.26, 25, 2 1 0
1.706, 53.72, 51, 2 0 2
1.378, 68.02, 25, 2 2 2

---

This entry pairs a crystal structure of KCaSn2Cl6 with its theoretical XRD peak list. Radiation: CuKα. Structure: a structure optimized by DFT (GGA-PBE).

Atomic structure:
```
data_KCaSn2Cl6
_chemical_formula_sum 'K3 Ca3 Sn6 Cl18'
_space_group_name_H-M_alt 'R 3'
_space_group_IT_number 146
_space_group_name_Hall 'R 3'
_cell_length_a 7.7699
_cell_length_b 7.7699
_cell_length_c 18.5541
_cell_angle_alpha 90.00
_cell_angle_beta 90.00
_cell_angle_gamma 120.00
loop_
_atom_site_label
_atom_site_fract_x
_atom_site_fract_y
_atom_site_fract_z
K1 0.0000 0.0000 0.0000
Ca1 0.0000 0.0000 0.4798
Sn1 0.0000 0.0000 0.2535
Sn2 0.0000 0.0000 0.6949
Cl1 0.0009 0.2708 0.5856
Cl2 0.0047 0.6807 0.4220
```

Peak list (10 most intense, 10 to 80 degrees two-theta, sorted by position)
d [Å], 2theta, Rel. int., h k l
5.447, 16.27, 64, 0 1 2
3.885, 22.89, 78, 1 1 0
3.819, 23.29, 82, 1 0 4
3.290, 27.11, 100, 1 1 3
3.249, 27.45, 33, 0 1 5
2.723, 32.89, 49, 0 2 4
2.243, 40.21, 85, 3 0 0
2.230, 40.45, 57, 3 -1 4
2.098, 43.12, 33, 1 2 5
1.821, 50.09, 41, 2 -1 9

---

This entry pairs a crystal structure of Mg7Tl2Zn2 with its theoretical XRD peak list. Radiation: CuKα. Structure: a structure optimized by DFT (GGA-PBE).

Atomic structure:
```
data_Mg7Tl2Zn2
_chemical_formula_sum 'Mg14 Tl4 Zn4'
_space_group_name_H-M_alt 'C 1 2/m 1'
_space_group_IT_number 12
_space_group_name_Hall '-C 2y'
_cell_length_a 7.0334
_cell_length_b 8.7376
_cell_length_c 8.1187
_cell_angle_alpha 90.00
_cell_angle_beta 101.62
_cell_angle_gamma 90.00
loop_
_atom_site_label
_atom_site_fract_x
_atom_site_fract_y
_atom_site_fract_z
Mg1 0.0000 0.0000 0.0000
Mg2 0.1355 0.0000 0.3753
Mg3 0.2205 0.3082 0.1805
Tl1 0.0000 0.3089 0.5000
Zn1 0.1131 0.5000 0.8795
```

Peak list (10 most intense, 10 to 80 degrees two-theta, sorted by position)
d [Å], 2theta, Rel. int., h k l
7.952, 11.13, 100, 0 0 1
5.410, 16.39, 52, 1 1 0
3.976, 22.36, 43, 0 0 2
3.829, 23.23, 74, 0 2 1
3.422, 26.04, 39, 2 0 -1
2.484, 36.17, 69, 1 3 1
2.446, 36.75, 38, 2 2 1
2.422, 37.13, 50, 2 2 -2
2.377, 37.84, 36, 2 0 2
2.309, 39.00, 37, 1 3 -2

---

This entry pairs a crystal structure of Cs4In2Mo with its theoretical XRD peak list. Radiation: CuKα. Structure: a structure optimized by DFT (GGA-PBE).

Atomic structure:
```
data_Cs4In2Mo
_chemical_formula_sum 'Cs8 In4 Mo2'
_space_group_name_H-M_alt 'I 4/m m m'
_space_group_IT_number 139
_space_group_name_Hall '-I 4 2'
_cell_length_a 6.9220
_cell_length_b 6.9220
_cell_length_c 16.1371
_cell_angle_alpha 90.00
_cell_angle_beta 90.00
_cell_angle_gamma 90.00
loop_
_atom_site_label
_atom_site_fract_x
_atom_site_fract_y
_atom_site_fract_z
Cs1 0.0000 0.0000 0.1759
Cs2 0.0000 0.5000 0.0000
In1 0.0000 0.0000 0.4095
Mo1 0.0000 0.0000 0.0000
```

Peak list (10 most intense, 10 to 80 degrees two-theta, sorted by position)
d [Å], 2theta, Rel. int., h k l
8.069, 10.97, 45, 0 0 2
4.895, 18.12, 35, 1 1 0
4.185, 21.23, 21, 1 1 2
3.461, 25.74, 100, 2 0 0
3.181, 28.05, 20, 2 0 2
3.113, 28.68, 31, 1 1 4
2.925, 30.56, 46, 1 0 5
2.447, 36.72, 39, 2 2 0
2.234, 40.37, 43, 2 1 5
1.548, 59.75, 18, 4 2 0

---

This entry pairs a crystal structure of Sc2UCd with its theoretical XRD peak list. Radiation: CuKα. Structure: a structure optimized by DFT (GGA-PBE).

Atomic structure:
```
data_Sc2UCd
_chemical_formula_sum 'Sc2 U1 Cd1'
_space_group_name_H-M_alt 'P 4/m m m'
_space_group_IT_number 123
_space_group_name_Hall '-P 4 2'
_cell_length_a 3.0995
_cell_length_b 3.0995
_cell_length_c 9.2837
_cell_angle_alpha 90.00
_cell_angle_beta 90.00
_cell_angle_gamma 90.00
loop_
_atom_site_label
_atom_site_fract_x
_atom_site_fract_y
_atom_site_fract_z
Sc1 0.0000 0.0000 0.2435
U1 0.5000 0.5000 0.5000
Cd1 0.5000 0.5000 0.0000
```

Peak list (10 most intense, 10 to 80 degrees two-theta, sorted by position)
d [Å], 2theta, Rel. int., h k l
4.642, 19.12, 36, 0 0 2
3.099, 28.81, 31, 1 0 0
2.578, 34.80, 100, 1 0 2
2.321, 38.80, 18, 0 0 4
2.192, 41.19, 35, 1 1 0
1.982, 45.78, 16, 1 1 2
1.858, 49.03, 14, 1 0 4
1.593, 57.87, 25, 1 1 4
1.385, 67.65, 21, 1 0 6
1.328, 70.96, 25, 2 1 2